Record 1
Calculated XRD peak list
Compound: NaLiSnSe2
Radiation: λ = 1.5418 Å (Cu Kα)
Structure: a PBE-relaxed structure
Peak positions follow from Bragg's law for the DFT cell and can differ from measured ones.

Atomic structure:
a b c (Å): 15.7561 4.1743 8.3260
angles (deg): 90.00 98.95 90.00
Space group C2/m (No. 12)
Asymmetric unit:
1 Na 0.1880 0.0000 0.2880 x4
2 Li 0.1975 0.0000 0.9198 x4
3 Sn 0.0523 0.5000 0.7186 x4
4 Se 0.1369 0.5000 0.0311 x4
5 Se 0.1513 0.0000 0.6164 x4

Main lines, low angle first (15° ≤ 2θ ≤ 90°):
2θ/deg, intensity, h k l
22.05, 53, 1 1 0
23.73, 37, 4 0 -1
26.03, 67, 2 0 2
28.51, 100, 3 1 -1
36.29, 52, 5 1 -1
38.99, 71, 1 1 -3
43.35, 36, 0 2 0
48.56, 36, 8 0 -2


Record 2
Calculated XRD peak list
Compound: SrLi2Tl
Radiation: λ = 1.5418 Å (Cu Kα)
Structure: a PBE-relaxed structure
Peak positions follow from Bragg's law for the DFT cell and can differ from measured ones.

Atomic structure:
a b c (Å): 4.4046 5.4585 9.1420
angles (deg): 90.00 90.00 90.00
Space group Imm2 (No. 44)
Asymmetric unit:
1 Sr 0.0000 0.0000 0.0000 x2
2 Li 0.0000 0.0000 0.5022 x2
3 Li 0.0000 0.5000 0.2176 x2
4 Tl 0.0000 0.5000 0.7783 x2

Main lines, low angle first (15° ≤ 2θ ≤ 90°):
2θ/deg, intensity, h k l
18.94, 85, 0 1 1
22.41, 76, 1 0 1
32.65, 100, 1 1 2
32.82, 26, 0 2 0
33.68, 34, 0 1 3
40.10, 34, 1 2 1
45.51, 18, 2 1 1
58.48, 19, 1 3 2


Record 3
Calculated XRD peak list
Compound: Cs2CBr7
Radiation: λ = 1.5418 Å (Cu Kα)
Structure: a PBE-relaxed structure
Peak positions follow from Bragg's law for the DFT cell and can differ from measured ones.

Atomic structure:
a b c (Å): 7.7943 7.7943 10.4813
angles (deg): 90.00 90.00 90.00
Space group I4/mmm (No. 139)
Asymmetric unit:
1 Cs 0.0000 0.5000 0.2500 x4
2 C 0.0000 0.0000 0.0000 x2
3 Br 0.0000 0.0000 0.2280 x4
4 Br 0.0000 0.0000 0.5000 x2
5 Br 0.2155 0.2155 0.0000 x8

Main lines, low angle first (15° ≤ 2θ ≤ 90°):
2θ/deg, intensity, h k l
23.42, 19, 1 1 2
28.54, 100, 2 0 2
32.49, 57, 2 2 0
34.22, 27, 0 0 4
46.61, 17, 4 0 0
47.91, 35, 2 2 4
55.57, 21, 4 2 2
59.08, 16, 4 0 4


Record 4
Calculated XRD peak list
Compound: Mg2Cd3Ag5
Radiation: λ = 1.5418 Å (Cu Kα)
Structure: a PBE-relaxed structure
Peak positions follow from Bragg's law for the DFT cell and can differ from measured ones.

Atomic structure:
a b c (Å): 4.5767 5.3171 9.1875
angles (deg): 85.22 89.81 65.85
Space group P-1 (No. 2)
Asymmetric unit:
1 Mg 0.0460 0.3997 0.2727 x2
2 Cd 0.2311 0.0400 0.6021 x2
3 Cd 0.5000 0.5000 0.0000 x1
4 Ag 0.1695 0.1620 0.9571 x2
5 Ag 0.3345 0.8260 0.2370 x2
6 Ag 0.5000 0.5000 0.5000 x1

Main lines, low angle first (15° ≤ 2θ ≤ 90°):
2θ/deg, intensity, h k l
19.40, 19, 0 0 2
21.56, 31, 0 1 -1
35.91, 32, 1 0 -3
37.09, 39, 1 0 3
37.51, 37, 1 1 -3
37.85, 63, -1 1 2
38.45, 60, 1 2 2
39.40, 100, 2 1 0


Record 5
Calculated XRD peak list
Compound: Cs2ZnHgP
Radiation: λ = 1.5418 Å (Cu Kα)
Structure: a PBE-relaxed structure
Peak positions follow from Bragg's law for the DFT cell and can differ from measured ones.

Atomic structure:
a b c (Å): 7.0298 7.0298 4.4752
angles (deg): 90.00 90.00 90.00
Space group P4/mmm (No. 123)
Asymmetric unit:
1 Cs 0.0000 0.5000 0.0000 x2
2 Zn 0.0000 0.0000 0.0000 x1
3 Hg 0.5000 0.5000 0.5000 x1
4 P 0.0000 0.0000 0.5000 x1

Main lines, low angle first (15° ≤ 2θ ≤ 90°):
2θ/deg, intensity, h k l
23.57, 42, 1 0 1
25.34, 100, 2 0 0
26.81, 96, 1 1 1
34.88, 32, 2 1 1
36.14, 39, 2 2 0
45.56, 45, 3 1 1
48.21, 34, 2 0 2
55.24, 23, 2 2 2


Record 6
Calculated XRD peak list
Compound: Ce6SbP3Se2
Radiation: λ = 1.5418 Å (Cu Kα)
Structure: a PBE-relaxed structure
Peak positions follow from Bragg's law for the DFT cell and can differ from measured ones.

Atomic structure:
a b c (Å): 18.3828 4.1779 8.4528
angles (deg): 90.00 104.16 90.00
Space group C2/m (No. 12)
Asymmetric unit:
1 Ce 0.0025 0.0000 0.2317 x4
2 Ce 0.1630 0.5000 0.0917 x4
3 Ce 0.1738 0.5000 0.5765 x4
4 Sb 0.0000 0.5000 0.5000 x2
5 P 0.0000 0.5000 0.0000 x2
6 P 0.1655 0.0000 0.3317 x4
7 Se 0.1677 0.0000 0.8343 x4

Main lines, low angle first (15° ≤ 2θ ≤ 90°):
2θ/deg, intensity, h k l
26.07, 21, 3 1 0
30.08, 100, 6 0 0
42.81, 36, 7 1 -2
43.30, 37, 0 2 0
53.63, 19, 6 2 0
70.58, 14, 8 2 -4
71.29, 16, 1 3 -2
79.10, 11, 7 3 -2